Entry 1:
This entry pairs a crystal structure of SmErZr2Sb2 with its computed XRD peak list. Radiation: a wavelength of 1.5418 Å. Structure: the PBE geometry in OQMD.

Structural model:
```
data_SmErZr2Sb2
_cell_length_a 4.289
_cell_length_b 4.289
_cell_length_c 16.733
_cell_angle_alpha 90.00
_cell_angle_beta 90.00
_cell_angle_gamma 90.00
_symmetry_space_group_name_H-M 'I 4 m m'
_symmetry_Int_Tables_number 107
_symmetry_space_group_name_Hall 'I 4 -2'
loop_
_atom_site_label
_atom_site_type_symbol
_atom_site_fract_x
_atom_site_fract_y
_atom_site_fract_z
Sm1 Sm 0.000 0.000 0.000
Er1 Er 0.000 0.000 0.354
Zr1 Zr 0.000 0.500 0.179
Sb1 Sb 0.000 0.000 0.547
Sb2 Sb 0.000 0.000 0.811
```

Top 12 peaks for 2θ from 10° to 90°, by angle:
Position (°2θ)  d_spacing  I_rel
29.45  3.033  48
31.38  2.851  95
32.10  2.789  41
33.98  2.638  64
36.60  2.455  100
42.14  2.144  72
53.94  1.700  37
55.20  1.664  32
61.12  1.516  24
65.06  1.434  20
73.39  1.290  25
80.61  1.192  22

Entry 2:
This entry pairs a crystal structure of Tb3ErSb4 with its computed XRD peak list. Radiation: a wavelength of 1.5418 Å. Structure: the PBE geometry in OQMD.

Structural model:
```
data_Tb3ErSb4
_cell_length_a 6.202
_cell_length_b 6.202
_cell_length_c 6.202
_cell_angle_alpha 90.00
_cell_angle_beta 90.00
_cell_angle_gamma 90.00
_symmetry_space_group_name_H-M 'P m -3 m'
_symmetry_Int_Tables_number 221
_symmetry_space_group_name_Hall '-P 4 2 3'
loop_
_atom_site_label
_atom_site_type_symbol
_atom_site_fract_x
_atom_site_fract_y
_atom_site_fract_z
Tb1 Tb 0.000 0.000 0.500
Er1 Er 0.500 0.500 0.500
Sb1 Sb 0.000 0.000 0.000
Sb2 Sb 0.000 0.500 0.500
```

Top 11 peaks for 2θ from 10° to 90°, by angle:
Position (°2θ)  d_spacing  I_rel
24.86  3.581  3
28.79  3.101  100
41.17  2.193  76
48.69  1.870  2
51.01  1.790  27
59.63  1.551  13
65.61  1.423  1
67.54  1.387  35
75.02  1.266  26
80.46  1.194  1
89.36  1.096  9

Entry 3:
This entry pairs a crystal structure of Tb2ErSb3 with its computed XRD peak list. Radiation: a wavelength of 1.5418 Å. Structure: the PBE geometry in OQMD.

Structural model:
```
data_Tb2ErSb3
_cell_length_a 4.3806
_cell_length_b 4.3806
_cell_length_c 10.7243
_cell_angle_alpha 90.00
_cell_angle_beta 90.00
_cell_angle_gamma 120.00
_symmetry_space_group_name_H-M 'P -3 m 1'
_symmetry_Int_Tables_number 164
_symmetry_space_group_name_Hall '-P 3 2"'
loop_
_atom_site_label
_atom_site_type_symbol
_atom_site_fract_x
_atom_site_fract_y
_atom_site_fract_z
Tb1 Tb 0.3333 0.6667 0.1679
Er1 Er 0.0000 0.0000 0.5000
Sb1 Sb 0.0000 0.0000 0.0000
Sb2 Sb 0.3333 0.6667 0.6639
```

Top 11 peaks for 2θ from 10° to 90°, by angle:
Position (°2θ)  d_spacing  I_rel
24.90  3.576  4
28.83  3.097  100
41.22  2.190  76
48.76  1.868  2
51.08  1.788  27
59.72  1.548  13
65.71  1.421  1
67.64  1.385  35
75.14  1.264  26
80.59  1.192  1
89.51  1.095  9

Entry 4:
This entry pairs a crystal structure of Er5ThSb6 with its computed XRD peak list. Radiation: a wavelength of 1.5418 Å. Structure: the PBE geometry in OQMD.

Structural model:
```
data_Er5ThSb6
_cell_length_a 7.586
_cell_length_b 13.137
_cell_length_c 7.593
_cell_angle_alpha 90.00
_cell_angle_beta 109.50
_cell_angle_gamma 90.00
_symmetry_space_group_name_H-M 'C 1 2/m 1'
_symmetry_Int_Tables_number 12
loop_
_symmetry_equiv_pos_as_xyz
'x,y,z'
'-x,-y,-z'
'-x,y,-z'
'x,-y,z'
'x+1/2,y+1/2,z'
'-x+1/2,-y+1/2,-z'
'-x+1/2,y+1/2,-z'
'x+1/2,-y+1/2,z'
loop_
_atom_site_label
_atom_site_type_symbol
_atom_site_fract_x
_atom_site_fract_y
_atom_site_fract_z
Er1 Er 0.000 0.000 0.000
Er2 Er 0.000 0.168 0.500
Er3 Er 0.000 0.336 0.000
Th1 Th 0.000 0.500 0.500
Sb1 Sb 0.244 0.000 0.751
Sb2 Sb 0.245 0.169 0.245
```

Top 12 peaks for 2θ from 10° to 90°, by angle:
Position (°2θ)  d_spacing  I_rel
24.89  3.577  6
28.82  3.098  100
41.22  2.190  76
48.74  1.868  2
48.77  1.867  2
51.07  1.788  27
59.70  1.549  13
65.70  1.421  1
67.63  1.385  35
75.13  1.265  26
80.57  1.192  1
89.49  1.095  9

Entry 5:
This entry pairs a crystal structure of Er2Sb2W with its computed XRD peak list. Radiation: a wavelength of 1.5418 Å. Structure: the PBE geometry in OQMD.

Structural model:
```
data_Er2Sb2W
_cell_length_a 6.593
_cell_length_b 9.499
_cell_length_c 4.012
_cell_angle_alpha 90.00
_cell_angle_beta 90.00
_cell_angle_gamma 90.00
_symmetry_space_group_name_H-M 'P b a m'
_symmetry_Int_Tables_number 55
loop_
_symmetry_equiv_pos_as_xyz
'x,y,z'
'-x,-y,-z'
'-x,-y,z'
'x,y,-z'
'x+1/2,-y+1/2,-z'
'-x+1/2,y+1/2,z'
'-x+1/2,y+1/2,-z'
'x+1/2,-y+1/2,z'
loop_
_atom_site_label
_atom_site_type_symbol
_atom_site_fract_x
_atom_site_fract_y
_atom_site_fract_z
Er1 Er 0.120 0.175 0.000
Sb1 Sb 0.239 0.905 0.500
W1 W 0.000 0.500 0.000
```

Top 12 peaks for 2θ from 10° to 90°, by angle:
Position (°2θ)  d_spacing  I_rel
22.16  4.012  28
28.67  3.114  31
31.34  2.854  58
32.21  2.779  100
35.24  2.547  47
36.53  2.460  42
38.72  2.326  64
40.18  2.244  22
40.37  2.234  24
45.21  2.006  34
56.04  1.641  23
63.14  1.473  22

Entry 6:
This entry pairs a crystal structure of YErZr2Sb2 with its computed XRD peak list. Radiation: a wavelength of 1.5418 Å. Structure: the PBE geometry in OQMD.

Structural model:
```
data_YErZr2Sb2
_cell_length_a 4.272
_cell_length_b 4.272
_cell_length_c 16.546
_cell_angle_alpha 90.00
_cell_angle_beta 90.00
_cell_angle_gamma 90.00
_symmetry_space_group_name_H-M 'I 4 m m'
_symmetry_Int_Tables_number 107
_symmetry_space_group_name_Hall 'I 4 -2'
loop_
_atom_site_label
_atom_site_type_symbol
_atom_site_fract_x
_atom_site_fract_y
_atom_site_fract_z
Y1 Y 0.000 0.000 0.000
Er1 Er 0.000 0.000 0.353
Zr1 Zr 0.000 0.500 0.177
Sb1 Sb 0.000 0.000 0.543
Sb2 Sb 0.000 0.000 0.811
```

Top 12 peaks for 2θ from 10° to 90°, by angle:
Position (°2θ)  d_spacing  I_rel
29.57  3.021  35
31.53  2.838  85
32.47  2.758  36
34.28  2.616  48
36.84  2.440  100
42.31  2.136  64
54.32  1.689  44
55.54  1.655  24
61.38  1.511  21
71.17  1.325  24
73.78  1.284  25
81.43  1.182  19

Entry 7:
This entry pairs a crystal structure of ErScZn6 with its computed XRD peak list. Radiation: a wavelength of 1.5418 Å. Structure: the PBE geometry in OQMD.

Structural model:
```
data_ErScZn6
_cell_length_a 4.573
_cell_length_b 4.573
_cell_length_c 6.451
_cell_angle_alpha 90.00
_cell_angle_beta 90.00
_cell_angle_gamma 90.00
_symmetry_space_group_name_H-M 'P 4/m m m'
_symmetry_Int_Tables_number 123
_symmetry_space_group_name_Hall '-P 4 2'
loop_
_atom_site_label
_atom_site_type_symbol
_atom_site_fract_x
_atom_site_fract_y
_atom_site_fract_z
Er1 Er 0.000 0.000 0.000
Sc1 Sc 0.500 0.500 0.500
Zn1 Zn 0.000 0.000 0.500
Zn2 Zn 0.000 0.500 0.262
Zn3 Zn 0.500 0.500 0.000
```

Top 12 peaks for 2θ from 10° to 90°, by angle:
Position (°2θ)  d_spacing  I_rel
13.73  6.451  5
19.41  4.573  7
23.85  3.731  3
30.93  2.891  6
34.01  2.636  4
39.44  2.285  100
56.95  1.617  11
57.11  1.613  5
71.50  1.320  21
71.60  1.318  10
84.80  1.143  3
84.94  1.142  6

Entry 8:
This entry pairs a crystal structure of Er2Se3 with its computed XRD peak list. Radiation: a wavelength of 1.5418 Å. Structure: the PBE geometry in OQMD.

Structural model:
```
data_Er2Se3
_cell_length_a 8.125
_cell_length_b 11.395
_cell_length_c 24.243
_cell_angle_alpha 90.00
_cell_angle_beta 90.00
_cell_angle_gamma 90.00
_symmetry_space_group_name_H-M 'F d d d'
_symmetry_Int_Tables_number 70
loop_
_symmetry_equiv_pos_as_xyz
'x,y,z'
'-x,-y,-z'
'-x+1/4,-y+1/4,z'
'x+1/4,y+1/4,-z'
'x,-y+1/4,-z+1/4'
'-x,y+1/4,z+1/4'
'-x+1/4,y,-z+1/4'
'x+1/4,-y,z+1/4'
'x,y+1/2,z+1/2'
'-x,-y+1/2,-z+1/2'
'-x+1/4,-y+3/4,z+1/2'
'x+1/4,y+3/4,-z+1/2'
'x,-y+3/4,-z+3/4'
'-x,y+3/4,z+3/4'
'-x+1/4,y+1/2,-z+3/4'
'x+1/4,-y+1/2,z+3/4'
'x+1/2,y,z+1/2'
'-x+1/2,-y,-z+1/2'
'-x+3/4,-y+1/4,z+1/2'
'x+3/4,y+1/4,-z+1/2'
'x+1/2,-y+1/4,-z+3/4'
'-x+1/2,y+1/4,z+3/4'
'-x+3/4,y,-z+3/4'
'x+3/4,-y,z+3/4'
'x+1/2,y+1/2,z'
'-x+1/2,-y+1/2,-z'
'-x+3/4,-y+3/4,z'
'x+3/4,y+3/4,-z'
'x+1/2,-y+3/4,-z+1/4'
'-x+1/2,y+3/4,z+1/4'
'-x+3/4,y+1/2,-z+1/4'
'x+3/4,-y+1/2,z+1/4'
loop_
_atom_site_label
_atom_site_type_symbol
_atom_site_fract_x
_atom_site_fract_y
_atom_site_fract_z
Er1 Er 0.125 0.125 0.041
Er2 Er 0.125 0.125 0.378
Se1 Se 0.118 0.373 0.207
Se2 Se 0.120 0.375 0.375
```

Top 12 peaks for 2θ from 10° to 90°, by angle:
Position (°2θ)  d_spacing  I_rel
13.88  6.382  46
22.74  3.911  16
31.22  2.865  100
31.40  2.849  50
44.61  2.031  19
44.87  2.020  91
55.57  1.654  19
55.79  1.648  19
74.12  1.279  24
74.38  1.275  17
82.39  1.171  12
82.75  1.166  19

Entry 9:
This entry pairs a crystal structure of Er8Se with its computed XRD peak list. Radiation: a wavelength of 1.5418 Å. Structure: the PBE geometry in OQMD.

Structural model:
```
data_Er8Se
_cell_length_a 8.9918
_cell_length_b 8.9918
_cell_length_c 3.7124
_cell_angle_alpha 90.00
_cell_angle_beta 90.00
_cell_angle_gamma 120.00
_symmetry_space_group_name_H-M 'P -6 2 m'
_symmetry_Int_Tables_number 189
_symmetry_space_group_name_Hall 'P -6 -2'
loop_
_atom_site_label
_atom_site_type_symbol
_atom_site_fract_x
_atom_site_fract_y
_atom_site_fract_z
Er1 Er 0.0000 0.2578 0.0000
Er2 Er 0.0000 0.6073 0.5000
Er3 Er 0.3333 0.6667 0.0000
Se1 Se 0.0000 0.0000 0.5000
```

Top 12 peaks for 2θ from 10° to 90°, by angle:
Position (°2θ)  d_spacing  I_rel
30.37  2.943  60
31.25  2.863  100
33.35  2.687  59
34.55  2.596  56
39.05  2.306  28
41.83  2.160  11
48.78  1.867  10
49.08  1.856  16
57.23  1.610  35
58.81  1.570  19
59.86  1.545  13
61.41  1.510  21

Entry 10:
This entry pairs a crystal structure of Er2SnSe3 with its computed XRD peak list. Radiation: a wavelength of 1.5418 Å. Structure: the PBE geometry in OQMD.

Structural model:
```
data_Er2SnSe3
_cell_length_a 3.9382
_cell_length_b 3.9382
_cell_length_c 12.1676
_cell_angle_alpha 90.00
_cell_angle_beta 90.00
_cell_angle_gamma 120.00
_symmetry_space_group_name_H-M 'P -3 m 1'
_symmetry_Int_Tables_number 164
_symmetry_space_group_name_Hall '-P 3 2"'
loop_
_atom_site_label
_atom_site_type_symbol
_atom_site_fract_x
_atom_site_fract_y
_atom_site_fract_z
Er1 Er 0.3333 0.6667 0.1463
Sn1 Sn 0.0000 0.0000 0.5000
Se1 Se 0.0000 0.0000 0.0000
Se2 Se 0.3333 0.6667 0.7226
```

Top 12 peaks for 2θ from 10° to 90°, by angle:
Position (°2θ)  d_spacing  I_rel
21.91  4.056  12
27.15  3.284  15
30.04  2.975  100
34.35  2.610  19
39.70  2.270  31
45.81  1.981  21
46.10  1.969  36
51.60  1.771  8
56.00  1.642  17
62.43  1.488  8
75.37  1.261  15
81.01  1.187  8

Entry 11:
This entry pairs a crystal structure of TbErSe4 with its computed XRD peak list. Radiation: a wavelength of 1.5418 Å. Structure: the PBE geometry in OQMD.

Structural model:
```
data_TbErSe4
_cell_length_a 9.390
_cell_length_b 4.469
_cell_length_c 7.595
_cell_angle_alpha 90.00
_cell_angle_beta 95.47
_cell_angle_gamma 90.00
_symmetry_space_group_name_H-M 'C 1 m 1'
_symmetry_Int_Tables_number 8
loop_
_symmetry_equiv_pos_as_xyz
'x,y,z'
'x,-y,z'
'x+1/2,y+1/2,z'
'x+1/2,-y+1/2,z'
loop_
_atom_site_label
_atom_site_type_symbol
_atom_site_fract_x
_atom_site_fract_y
_atom_site_fract_z
Tb1 Tb 0.000 0.000 0.000
Er1 Er 0.357 0.000 0.436
Se1 Se 0.045 0.000 0.378
Se2 Se 0.061 0.500 0.764
Se3 Se 0.295 0.500 0.665
Se4 Se 0.311 0.000 0.062
```

Top 12 peaks for 2θ from 10° to 90°, by angle:
Position (°2θ)  d_spacing  I_rel
18.99  4.674  30
23.53  3.780  24
24.59  3.620  100
31.81  2.813  42
33.14  2.703  43
35.11  2.556  39
35.62  2.520  29
36.21  2.481  50
40.36  2.235  45
41.05  2.199  30
41.47  2.177  53
44.30  2.044  35

Entry 12:
This entry pairs a crystal structure of YEr2Se3 with its computed XRD peak list. Radiation: a wavelength of 1.5418 Å. Structure: the PBE geometry in OQMD.

Structural model:
```
data_YEr2Se3
_cell_length_a 4.0426
_cell_length_b 4.0426
_cell_length_c 9.9163
_cell_angle_alpha 90.00
_cell_angle_beta 90.00
_cell_angle_gamma 120.00
_symmetry_space_group_name_H-M 'P -3 m 1'
_symmetry_Int_Tables_number 164
_symmetry_space_group_name_Hall '-P 3 2"'
loop_
_atom_site_label
_atom_site_type_symbol
_atom_site_fract_x
_atom_site_fract_y
_atom_site_fract_z
Y1 Y 0.0000 0.0000 0.0000
Er1 Er 0.3333 0.6667 0.6654
Se1 Se 0.0000 0.0000 0.5000
Se2 Se 0.3333 0.6667 0.1710
```

Top 12 peaks for 2θ from 10° to 90°, by angle:
Position (°2θ)  d_spacing  I_rel
25.44  3.501  2
27.00  3.302  16
31.28  2.860  100
44.82  2.022  73
53.10  1.725  8
55.67  1.651  26
65.25  1.430  12
71.96  1.312  3
74.14  1.279  33
82.63  1.168  19
82.69  1.167  6
88.93  1.101  2